(1)
# La2Y
Computed X-ray diffraction stick pattern, Cu Kα X-rays. Input: the PBE geometry in Alexandria.
Neutral-atom scattering factors, no anomalous dispersion.

Structure:
```
La2Y
1.0
-1.856 1.856 7.721
1.856 -1.856 7.721
1.856 1.856 -7.721
La Y
2 1
Direct
0.166 0.166 0.000 La
0.834 0.834 0.000 La
0.500 0.500 0.000 Y
```

Top 10 peaks for 2θ from 10° to 80°, sorted by position:
| Position (°2θ) | Rel. int. |
| --- | --- |
| 29.67 | 100 |
| 34.16 | 34 |
| 34.86 | 16 |
| 49.09 | 12 |
| 49.61 | 24 |
| 58.41 | 29 |
| 59.34 | 14 |
| 61.61 | 12 |
| 71.95 | 4 |
| 79.70 | 6 |

(2)
# La3Y
Computed X-ray diffraction stick pattern, Cu Kα X-rays. Input: the PBE geometry in Alexandria.
Neutral-atom scattering factors, no anomalous dispersion.

Structure:
```
La3Y
1.0
5.975 0.000 0.000
0.000 7.480 0.000
0.000 0.000 6.475
La Y
6 2
Direct
0.250 0.001 0.166 La
0.250 0.250 0.667 La
0.250 0.499 0.166 La
0.750 0.501 0.834 La
0.750 0.750 0.333 La
0.750 0.999 0.834 La
0.250 0.750 0.664 Y
0.750 0.250 0.336 Y
```

Top 10 peaks for 2θ from 10° to 80°, sorted by position:
| Position (°2θ) | Rel. int. |
| --- | --- |
| 27.54 | 24 |
| 29.91 | 25 |
| 31.42 | 100 |
| 41.11 | 16 |
| 48.70 | 19 |
| 54.05 | 21 |
| 58.21 | 23 |
| 59.11 | 16 |
| 65.58 | 4 |
| 75.70 | 8 |

(3)
# LaY11
Computed X-ray diffraction stick pattern, Cu Kα X-rays. Input: the PBE geometry in Alexandria.
Neutral-atom scattering factors, no anomalous dispersion.

Structure:
```
LaY11
1.0
11.355 0.000 0.000
-5.678 9.834 0.000
0.000 0.000 3.548
La Y
1 11
Direct
0.000 0.000 0.000 La
0.000 0.500 0.000 Y
0.178 0.357 0.500 Y
0.178 0.822 0.500 Y
0.333 0.667 0.000 Y
0.357 0.178 0.500 Y
0.500 0.000 0.000 Y
0.500 0.500 0.000 Y
0.643 0.822 0.500 Y
0.667 0.333 0.000 Y
0.822 0.178 0.500 Y
0.822 0.643 0.500 Y
```

Top 10 peaks for 2θ from 10° to 80°, sorted by position:
| Position (°2θ) | Rel. int. |
| --- | --- |
| 29.69 | 31 |
| 31.08 | 59 |
| 31.51 | 100 |
| 34.96 | 12 |
| 37.35 | 18 |
| 44.85 | 19 |
| 49.65 | 13 |
| 55.84 | 19 |
| 56.11 | 16 |
| 61.65 | 28 |

(4)
# La3Y4
Computed X-ray diffraction stick pattern, Cu Kα X-rays. Input: the PBE geometry in Alexandria.
Neutral-atom scattering factors, no anomalous dispersion.

Structure:
```
La3Y4
1.0
-1.830 1.830 17.967
1.830 -1.830 17.967
1.830 1.830 -17.967
La Y
3 4
Direct
0.000 0.000 0.000 La
0.286 0.286 0.000 La
0.714 0.714 0.000 La
0.140 0.140 0.000 Y
0.428 0.428 0.000 Y
0.572 0.572 0.000 Y
0.860 0.860 0.000 Y
```

Top 10 peaks for 2θ from 10° to 80°, sorted by position:
| Position (°2θ) | Rel. int. |
| --- | --- |
| 25.45 | 3 |
| 29.98 | 100 |
| 34.66 | 34 |
| 34.96 | 16 |
| 49.83 | 13 |
| 50.05 | 23 |
| 59.25 | 28 |
| 59.65 | 13 |
| 62.31 | 12 |
| 73.13 | 4 |